# 1
This entry pairs a crystal structure of NaCaS with its theoretical powder X-ray diffraction pattern. Radiation: Cu Ka. Structure: a crystal structure in Alexandria, relaxed with GGA-PBE.
Kinematic intensities with the Lorentz-polarization factor, no thermal factor.

Largest 10 diffraction maxima, most intense first, 5° ≤ 2θ ≤ 70°:
d_spacing	I (rel.)
10.942	100
2.338	53
3.632	40
1.777	38
2.882	29
3.932	26
2.736	25
1.967	20
3.647	15
4.019	12

Atomic structure:
```
data_NaCaS
_symmetry_space_group_name_H-M 'R -3 m'
_symmetry_Int_Tables_number 166
_symmetry_space_group_name_Hall '-R 3 2"'
_cell_length_a 4.6760
_cell_length_b 4.6760
_cell_length_c 32.8265
_cell_angle_alpha 90.00
_cell_angle_beta 90.00
_cell_angle_gamma 120.00
loop_
_atom_site_label
_atom_site_type_symbol
_atom_site_fract_x
_atom_site_fract_y
_atom_site_fract_z
Na1 Na 0.0000 0.0000 0.1327
Ca1 Ca 0.0000 0.0000 0.3741
S1 S 0.0000 0.0000 0.2879
```

=====

# 2
This entry pairs a crystal structure of NaCa2SnS4 with its theoretical powder X-ray diffraction pattern. Radiation: Cu Ka. Structure: a crystal structure in Alexandria, relaxed with GGA-PBE.
Kinematic intensities with the Lorentz-polarization factor, no thermal factor.

Largest 10 diffraction maxima, most intense first, 5° ≤ 2θ ≤ 70°:
d_spacing	I (rel.)
2.857	100
2.012	51
2.809	47
1.995	33
6.619	31
1.635	26
5.619	18
2.029	17
3.430	16
3.271	14

Atomic structure:
```
data_NaCa2SnS4
_symmetry_space_group_name_H-M 'P 1 2/m 1'
_symmetry_Int_Tables_number 10
_cell_length_a 6.891
_cell_length_b 4.022
_cell_length_c 6.972
_cell_angle_alpha 90.00
_cell_angle_beta 108.32
_cell_angle_gamma 90.00
loop_
_symmetry_equiv_pos_as_xyz
'x,y,z'
'-x,-y,-z'
'-x,y,-z'
'x,-y,z'
loop_
_atom_site_label
_atom_site_type_symbol
_atom_site_fract_x
_atom_site_fract_y
_atom_site_fract_z
Na1 Na 0.000 0.000 0.000
Ca1 Ca 0.500 0.000 0.500
Ca2 Ca 0.500 0.500 0.000
Sn1 Sn 0.000 0.500 0.500
S1 S 0.248 0.000 0.745
S2 S 0.250 0.500 0.265
```

=====

- Which formula does entry 2 have?
  NaCa2SnS4